[1]
Structure and computed powder diffraction line list of K3U2VTe6 (a cell relaxed with PBE; Cu Kα (weighted mean of Kα1 and Kα2)).
Kinematic intensities with the Lorentz-polarization factor, no thermal factor.

Principal peaks in the range 2θ = 15–90°, by angle:
23.70°, intensity 8; 27.53°, intensity 100; 34.58°, intensity 23; 37.39°, intensity 34; 41.18°, intensity 35; 42.66°, intensity 13; 46.77°, intensity 15; 50.22°, intensity 12; 56.84°, intensity 6; 61.61°, intensity 7; 66.92°, intensity 14; 71.29°, intensity 6

Atomic structure:
```
data_K3U2VTe6
_cell_length_a 7.5907
_cell_length_b 13.1583
_cell_length_c 8.6711
_cell_angle_alpha 90.00
_cell_angle_beta 107.07
_cell_angle_gamma 90.00
_space_group_name_H-M_alt 'C 1 2/m 1'
_space_group_IT_number 12
_space_group_name_Hall '-C 2y'
loop_
_atom_site_label
_atom_site_fract_x
_atom_site_fract_y
_atom_site_fract_z
_atom_site_occupancy
K1 0.0000 0.0000 0.0000 1
K2 0.0000 0.3274 0.0000 1
U1 0.0000 0.1658 0.5000 1
V1 0.0000 0.5000 0.5000 1
Te1 0.2243 0.3430 0.7028 1
Te2 0.2446 0.5000 0.2950 1
```


[2]
Structure and computed powder diffraction line list of KVTe3 (a cell relaxed with PBE; Cu Kα (weighted mean of Kα1 and Kα2)).
Kinematic intensities with the Lorentz-polarization factor, no thermal factor.

Principal peaks in the range 2θ = 15–90°, by angle:
19.73°, intensity 15; 26.69°, intensity 20; 29.33°, intensity 26; 29.98°, intensity 58; 30.53°, intensity 100; 37.41°, intensity 16; 40.07°, intensity 23; 46.37°, intensity 25; 47.51°, intensity 11; 52.78°, intensity 15; 55.84°, intensity 22; 57.20°, intensity 18

Atomic structure:
```
data_KVTe3
_cell_length_a 7.6554
_cell_length_b 6.0894
_cell_length_c 7.8299
_cell_angle_alpha 90.00
_cell_angle_beta 119.18
_cell_angle_gamma 90.00
_space_group_name_H-M_alt 'P 1 21 1'
_space_group_IT_number 4
_space_group_name_Hall 'P 2yb'
loop_
_atom_site_label
_atom_site_fract_x
_atom_site_fract_y
_atom_site_fract_z
_atom_site_occupancy
K1 0.1784 0.0000 0.3581 1
V1 0.4434 0.2500 0.0003 1
Te1 0.1713 0.9595 0.8490 1
Te2 0.3228 0.5406 0.1519 1
Te3 0.3412 0.4999 0.6820 1
```